1.
Calculated powder XRD pattern
Compound: Na3Ga2Ge4
Radiation: Cu Kα (λ = 1.5418 Å)
Structure: a PBE-relaxed structure
Kinematic intensities with the Lorentz-polarization factor, no thermal factor.

The 6 most intense peaks (2θ from 5° to 70°), low angle first:
h k l, d (Å), I/Imax
2 0 0, 5.481, 75.3
1 1 -1, 3.650, 96.7
3 1 -1, 2.708, 100.0
2 0 3, 2.425, 63.5
0 2 0, 2.114, 71.3
3 1 -3, 2.093, 91.9

Cell: 11.0476 4.2285 8.6916 Å, 90.00 97.12 90.00°
Space group C2/m (No. 12)
Inequivalent atoms, fractional coordinates:
Na (0.0000, 0.0000, 0.0000)
Na (0.0964, 0.5000, 0.7109)
Ga (0.1942, 0.5000, 0.3401)
Ge (0.1065, 0.0000, 0.4546)
Ge (0.1985, 0.5000, 0.0473)

2.
Calculated powder XRD pattern
Compound: Na6GaGe2
Radiation: Cu Kα (λ = 1.5418 Å)
Structure: a PBE-relaxed structure
Kinematic intensities with the Lorentz-polarization factor, no thermal factor.

The 6 most intense peaks (2θ from 5° to 70°), low angle first:
h k l, d (Å), I/Imax
1 0 1, 4.536, 75.3
0 1 2, 4.375, 24.7
1 1 0, 2.652, 100.0
1 0 10, 2.434, 37.7
0 1 11, 2.268, 26.0
3 0 0, 1.531, 20.7

Cell: 5.3039 5.3039 28.6963 Å, 90.00 90.00 120.00°
Space group R-3m (No. 166, hexagonal axes)
Inequivalent atoms, fractional coordinates:
Na (0.0000, 0.0000, 0.0763)
Na (0.0000, 0.0000, 0.2012)
Na (0.0000, 0.0000, 0.3095)
Ga (0.0000, 0.0000, 0.5000)
Ge (0.0000, 0.0000, 0.4147)

3.
Calculated powder XRD pattern
Compound: Na2SrGaGe2
Radiation: Cu Kα (λ = 1.5418 Å)
Structure: a PBE-relaxed structure
Kinematic intensities with the Lorentz-polarization factor, no thermal factor.

The 6 most intense peaks (2θ from 5° to 70°), low angle first:
h k l, d (Å), I/Imax
0 1 0, 8.688, 85.5
1 2 1, 2.893, 97.7
1 1 2, 2.779, 100.0
0 1 3, 2.484, 36.3
1 3 0, 2.430, 69.4
2 0 0, 2.234, 43.2

Cell: 4.4680 8.6880 7.7763 Å, 90.00 90.00 90.00°
Space group Pmc2_1 (No. 26)
Inequivalent atoms, fractional coordinates:
Na (0.0000, 0.0737, 0.0000)
Na (0.5000, 0.1579, 0.3205)
Sr (0.5000, 0.4384, 0.9781)
Ga (0.0000, 0.3239, 0.6305)
Ge (0.0000, 0.3802, 0.2714)
Ge (0.5000, 0.1678, 0.6975)

4.
Calculated powder XRD pattern
Compound: Na2SrGa2Ge2
Radiation: Cu Kα (λ = 1.5418 Å)
Structure: a PBE-relaxed structure
Kinematic intensities with the Lorentz-polarization factor, no thermal factor.

The 6 most intense peaks (2θ from 5° to 70°), low angle first:
h k l, d (Å), I/Imax
0 0 6, 4.830, 27.4
1 0 4, 3.392, 25.0
1 0 7, 2.815, 100.0
1 1 0, 2.216, 76.9
0 2 7, 1.741, 23.3
1 1 12, 1.633, 28.2

Cell: 4.4319 4.4319 28.9777 Å, 90.00 90.00 120.00°
Space group R-3m (No. 166, hexagonal axes)
Inequivalent atoms, fractional coordinates:
Na (0.0000, 0.0000, 0.1420)
Sr (0.0000, 0.0000, 0.0000)
Ga (0.0000, 0.0000, 0.4236)
Ge (0.0000, 0.0000, 0.2612)

5.
Calculated powder XRD pattern
Compound: Na2GaGeTe4
Radiation: Cu Kα (λ = 1.5418 Å)
Structure: a PBE-relaxed structure
Kinematic intensities with the Lorentz-polarization factor, no thermal factor.

The 6 most intense peaks (2θ from 5° to 70°), low angle first:
h k l, d (Å), I/Imax
2 1 0, 4.100, 100.0
0 2 1, 3.759, 50.6
0 0 2, 3.621, 84.0
2 1 1, 3.568, 81.8
2 1 2, 2.715, 57.9
2 3 0, 2.477, 66.6

Cell: 9.2675 8.7947 7.2417 Å, 90.00 90.00 90.00°
Space group Pmn2_1 (No. 31)
Inequivalent atoms, fractional coordinates:
Na (0.2475, 0.1651, 0.0000)
Ga (0.0000, 0.3569, 0.5208)
Ge (0.0000, 0.6673, 0.0100)
Te (0.0000, 0.3806, 0.8869)
Te (0.0000, 0.6335, 0.3803)
Te (0.2319, 0.1912, 0.4322)

6.
Calculated powder XRD pattern
Compound: Nb7Ga2Ge2
Radiation: Cu Kα (λ = 1.5418 Å)
Structure: a PBE-relaxed structure
Kinematic intensities with the Lorentz-polarization factor, no thermal factor.

The 6 most intense peaks (2θ from 5° to 70°), low angle first:
h k l, d (Å), I/Imax
4 0 0, 2.390, 93.2
1 1 2, 2.249, 38.0
1 3 1, 2.235, 100.0
3 1 -2, 2.210, 46.3
2 0 2, 2.062, 35.8
3 3 -1, 2.010, 65.5

Cell: 9.8679 7.9773 5.3141 Å, 90.00 104.33 90.00°
Space group C2/m (No. 12)
Inequivalent atoms, fractional coordinates:
Nb (0.0000, 0.0000, 0.0000)
Nb (0.0019, 0.5000, 0.2603)
Nb (0.2402, 0.1755, 0.2618)
Ga (0.0000, 0.1804, 0.5000)
Ge (0.2413, 0.0000, 0.8179)